Entry 1:
Calculated powder diffraction line list
Compound: Li3Zn2Au3
Radiation: a wavelength of 1.5418 Å
Structure: a structure optimized by DFT (GGA-PBE)

Main lines, in order of rising 2θ (10° ≤ 2θ ≤ 90°):
h k l, 2θ/deg, Rel. int.
1 0 1, 24.1, 100
0 1 -1, 27.6, 42
0 1 2, 27.8, 41
1 1 -1, 39.6, 76
1 1 3, 39.7, 75
0 2 1, 44.7, 27
0 0 4, 45.5, 26
1 0 4, 46.5, 23
1 2 2, 51.5, 27
2 1 0, 56.3, 24

Cell and atoms:
```
data_Li3Zn2Au3
_chemical_formula_sum 'Li3 Zn2 Au3'
_space_group_name_H-M_alt 'P -1'
_space_group_IT_number 2
_cell_length_a 3.795
_cell_length_b 4.052
_cell_length_c 8.430
_cell_angle_alpha 76.35
_cell_angle_beta 77.02
_cell_angle_gamma 89.96
loop_
_space_group_symop_operation_xyz
'x,y,z'
'-x,-y,-z'
loop_
_atom_site_label
_atom_site_fract_x
_atom_site_fract_y
_atom_site_fract_z
Li1 0.000 0.000 0.000
Li2 0.124 0.624 0.751
Zn1 0.253 0.251 0.496
Au1 0.368 0.868 0.263
Au2 0.500 0.500 0.000
```



Entry 2:
Calculated powder diffraction line list
Compound: LiZn3Au4
Radiation: a wavelength of 1.5418 Å
Structure: a structure optimized by DFT (GGA-PBE)

Main lines, in order of rising 2θ (10° ≤ 2θ ≤ 90°):
h k l, 2θ/deg, Rel. int.
1 1 -1, 27.9, 83
4 0 0, 28.6, 39
2 0 -2, 39.8, 52
0 2 0, 40.0, 51
3 1 1, 40.3, 100
5 1 -1, 40.5, 99
4 2 0, 49.9, 27
2 2 -2, 57.7, 35
1 1 3, 72.4, 18
8 2 0, 73.9, 25

Cell and atoms:
```
data_LiZn3Au4
_chemical_formula_sum 'Li2 Zn6 Au8'
_space_group_name_H-M_alt 'C 1 2/m 1'
_space_group_IT_number 12
_cell_length_a 13.265
_cell_length_b 4.507
_cell_length_c 4.535
_cell_angle_alpha 90.00
_cell_angle_beta 109.69
_cell_angle_gamma 90.00
loop_
_space_group_symop_operation_xyz
'x,y,z'
'-x,-y,-z'
'-x,y,-z'
'x,-y,z'
'x+1/2,y+1/2,z'
'-x+1/2,-y+1/2,-z'
'-x+1/2,y+1/2,-z'
'x+1/2,-y+1/2,z'
loop_
_atom_site_label
_atom_site_fract_x
_atom_site_fract_y
_atom_site_fract_z
Li1 0.000 0.000 0.000
Zn1 0.000 0.500 0.500
Zn2 0.249 0.000 0.248
Au1 0.124 0.000 0.623
Au2 0.124 0.500 0.124
```